# 1
Starting from DFT lattice parameters and positions (GGA-PBE), the powder diffraction line list of Tb2Mg3In3 was calculated for Cu Kα (λ = 1.5418 Å).
Intensities are scaled so that the largest is 100.

Crystal structure
Cell lengths 4.6872, 4.7509, 8.8160 Å; angles 90.00, 90.00, 90.00 degrees
Space group Pmmm (No. 47)
Symmetry-distinct sites (fractional):
Tb 0.0000 0.0000 0.2475 x2
Mg 0.0000 0.5000 0.5000 x1
Mg 0.5000 0.5000 0.2507 x2
In 0.0000 0.5000 0.0000 x1
In 0.5000 0.0000 0.0000 x1
In 0.5000 0.0000 0.5000 x1

Principal peaks in the range 10° ≤ 2θ ≤ 90°, in order of falling intensity:
Position (°2θ), I (rel.)
33.7, 100
18.7, 24
27.8, 19
37.9, 18
38.4, 17
40.9, 16
65.7, 14
66.5, 13
55.0, 12
70.0, 12

# 2
Starting from DFT lattice parameters and positions (GGA-PBE), the powder diffraction line list of Tb7Mg3In was calculated for Cu Kα (λ = 1.5418 Å).
Intensities are scaled so that the largest is 100.

Crystal structure
Cell lengths 5.7858, 10.1055, 11.3891 Å; angles 90.00, 90.00, 90.00 degrees
Space group Immm (No. 71)
Symmetry-distinct sites (fractional):
Tb 0.0000 0.0000 0.0000 x2
Tb 0.0000 0.1910 0.5000 x4
Tb 0.0000 0.3297 0.2310 x8
Mg 0.0000 0.0000 0.2775 x4
Mg 0.0000 0.5000 0.0000 x2
In 0.0000 0.5000 0.5000 x2

Principal peaks in the range 10° ≤ 2θ ≤ 90°, in order of falling intensity:
Position (°2θ), I (rel.)
34.6, 100
30.9, 66
23.6, 62
31.4, 55
44.7, 42
27.6, 37
57.4, 25
33.3, 25
41.9, 24
28.1, 20

# 3
Starting from DFT lattice parameters and positions (GGA-PBE), the powder diffraction line list of Tb7MgIn4 was calculated for Cu Kα (λ = 1.5418 Å).
Intensities are scaled so that the largest is 100.

Crystal structure
Cell lengths 14.6095, 5.7911, 9.5190 Å; angles 90.00, 119.85, 90.00 degrees
Space group C2/m (No. 12)
Symmetry-distinct sites (fractional):
Tb 0.0000 0.0000 0.0000 x2
Tb 0.0753 0.5000 0.4134 x4
Tb 0.1968 0.5000 0.8752 x4
Tb 0.2458 0.5000 0.2814 x4
Mg 0.0000 0.5000 0.0000 x2
In 0.0401 0.0000 0.6910 x4
In 0.1795 0.0000 0.3429 x4

Principal peaks in the range 10° ≤ 2θ ≤ 90°, in order of falling intensity:
Position (°2θ), I (rel.)
30.9, 100
35.1, 79
32.6, 50
33.5, 49
31.2, 37
30.6, 37
34.6, 29
30.1, 29
44.5, 28
44.1, 27

# 4
Starting from DFT lattice parameters and positions (GGA-PBE), the powder diffraction line list of Tb2Mg3In4 was calculated for Cu Kα (λ = 1.5418 Å).
Intensities are scaled so that the largest is 100.

Crystal structure
Cell lengths 6.3373, 16.9771, 8.3451 Å; angles 90.00, 90.00, 90.00 degrees
Space group Cmce (No. 64)
Symmetry-distinct sites (fractional):
Tb 0.0000 0.1008 0.1005 x8
Mg 0.0000 0.0000 0.5000 x4
Mg 0.2500 0.2344 0.7500 x8
In 0.0000 0.1705 0.4747 x8
In 0.2500 0.0613 0.7500 x8

Principal peaks in the range 10° ≤ 2θ ≤ 90°, in order of falling intensity:
Position (°2θ), I (rel.)
35.6, 100
31.8, 99
32.0, 81
30.1, 72
33.9, 71
62.6, 33
37.0, 32
35.4, 31
20.9, 30
38.7, 29

# 5
Starting from DFT lattice parameters and positions (GGA-PBE), the powder diffraction line list of Tb4Mg3In2 was calculated for Cu Kα (λ = 1.5418 Å).
Intensities are scaled so that the largest is 100.

Crystal structure
Cell lengths 5.2834, 5.2834, 10.0929 Å; angles 90.00, 90.00, 120.00 degrees
Space group P-3m1 (No. 164)
Symmetry-distinct sites (fractional):
Tb 0.0000 0.0000 0.1744 x2
Tb 0.3333 0.6667 0.6214 x2
Mg 0.0000 0.0000 0.5000 x1
Mg 0.3333 0.6667 0.9884 x2
In 0.3333 0.6667 0.2991 x2

Principal peaks in the range 10° ≤ 2θ ≤ 90°, in order of falling intensity:
Position (°2θ), I (rel.)
33.0, 100
33.9, 97
21.3, 41
60.2, 35
48.1, 35
60.7, 18
81.0, 15
58.5, 14
17.6, 14
26.3, 13

# 6
Starting from DFT lattice parameters and positions (GGA-PBE), the powder diffraction line list of Tb2ThMg2In2 was calculated for Cu Kα (λ = 1.5418 Å).
Intensities are scaled so that the largest is 100.

Crystal structure
Cell lengths 5.0391, 5.0391, 26.3036 Å; angles 90.00, 90.00, 120.00 degrees
Space group R-3m (No. 166, hexagonal axes)
Symmetry-distinct sites (fractional):
Tb 0.0000 0.0000 0.1298 x6
Th 0.0000 0.0000 0.0000 x3
Mg 0.0000 0.0000 0.4050 x6
In 0.0000 0.0000 0.2624 x6

Principal peaks in the range 10° ≤ 2θ ≤ 90°, in order of falling intensity:
Position (°2θ), I (rel.)
35.6, 100
34.1, 86
31.4, 83
20.6, 82
64.8, 31
63.1, 29
50.2, 29
48.2, 25
61.4, 25
64.0, 18

# 7
Starting from DFT lattice parameters and positions (GGA-PBE), the powder diffraction line list of MgIn2Te was calculated for Cu Kα (λ = 1.5418 Å).
Intensities are scaled so that the largest is 100.

Crystal structure
Cell lengths 4.2748, 4.3732, 11.8333 Å; angles 90.00, 90.00, 90.00 degrees
Space group Immm (No. 71)
Symmetry-distinct sites (fractional):
Mg 0.0000 0.0000 0.0000 x2
In 0.0000 0.5000 0.2306 x4
Te 0.0000 0.0000 0.5000 x2

Principal peaks in the range 10° ≤ 2θ ≤ 90°, in order of falling intensity:
Position (°2θ), I (rel.)
33.0, 100
30.2, 28
55.4, 16
21.7, 16
41.3, 14
30.8, 14
42.3, 13
52.0, 12
52.8, 11
70.0, 11

# 8
Starting from DFT lattice parameters and positions (GGA-PBE), the powder diffraction line list of Th6MgIn was calculated for Cu Kα (λ = 1.5418 Å).
Intensities are scaled so that the largest is 100.

Crystal structure
Cell lengths 5.0044, 5.0044, 19.5992 Å; angles 90.00, 90.00, 90.00 degrees
Space group I4/mmm (No. 139)
Symmetry-distinct sites (fractional):
Th 0.0000 0.0000 0.2496 x4
Th 0.0000 0.5000 0.1192 x8
Mg 0.0000 0.0000 0.0000 x2
In 0.0000 0.0000 0.5000 x2

Principal peaks in the range 10° ≤ 2θ ≤ 90°, in order of falling intensity:
Position (°2θ), I (rel.)
31.2, 100
35.9, 35
61.6, 30
52.3, 23
36.7, 16
62.6, 13
51.7, 13
65.0, 12
85.4, 11
26.8, 9

# 9
Starting from DFT lattice parameters and positions (GGA-PBE), the powder diffraction line list of ThMg6In6 was calculated for Cu Kα (λ = 1.5418 Å).
Intensities are scaled so that the largest is 100.

Crystal structure
Cell lengths 6.1099, 9.7785, 10.5074 Å; angles 90.00, 90.00, 90.00 degrees
Space group Immm (No. 71)
Symmetry-distinct sites (fractional):
Th 0.0000 0.0000 0.0000 x2
Mg 0.0000 0.2535 0.5000 x4
Mg 0.2500 0.2500 0.2500 x8
In 0.0000 0.0000 0.3350 x4
In 0.0000 0.3470 0.0000 x4
In 0.0000 0.5000 0.3367 x4

Principal peaks in the range 10° ≤ 2θ ≤ 90°, in order of falling intensity:
Position (°2θ), I (rel.)
29.4, 100
34.8, 74
29.2, 51
18.1, 42
34.6, 37
64.9, 36
35.6, 32
28.7, 28
31.1, 23
41.4, 21

# 10
Starting from DFT lattice parameters and positions (GGA-PBE), the powder diffraction line list of MgTi2In4 was calculated for Cu Kα (λ = 1.5418 Å).
Intensities are scaled so that the largest is 100.

Crystal structure
Cell lengths 7.0782, 7.0782, 6.2471 Å; angles 90.00, 90.00, 90.00 degrees
Space group I4/mmm (No. 139)
Symmetry-distinct sites (fractional):
Mg 0.0000 0.0000 0.0000 x2
Ti 0.0000 0.5000 0.0000 x4
In 0.2500 0.2500 0.2500 x8

Principal peaks in the range 10° ≤ 2θ ≤ 90°, in order of falling intensity:
Position (°2θ), I (rel.)
38.4, 100
35.9, 61
25.2, 53
66.2, 38
51.7, 21
46.5, 20
28.6, 19
71.2, 15
58.3, 10
82.4, 10

# 11
Starting from DFT lattice parameters and positions (GGA-PBE), the powder diffraction line list of Mg3TlIn3 was calculated for Cu Kα (λ = 1.5418 Å).
Intensities are scaled so that the largest is 100.

Crystal structure
Cell lengths 9.4284, 9.4284, 7.0838 Å; angles 90.00, 90.00, 120.00 degrees
Space group R3m (No. 160, hexagonal axes)
Symmetry-distinct sites (fractional):
Mg 0.0289 0.5144 0.0000 x9
Tl 0.0000 0.0000 0.5613 x3
In 0.0837 0.5419 0.5753 x9

Principal peaks in the range 10° ≤ 2θ ≤ 90°, in order of falling intensity:
Position (°2θ), I (rel.)
25.2, 100
33.5, 82
38.2, 53
31.6, 43
41.9, 34
32.9, 32
16.6, 26
51.2, 26
18.8, 20
47.7, 20

# 12
Starting from DFT lattice parameters and positions (GGA-PBE), the powder diffraction line list of Mg4Tl2In was calculated for Cu Kα (λ = 1.5418 Å).
Intensities are scaled so that the largest is 100.

Crystal structure
Cell lengths 7.1228, 7.7837, 7.9283 Å; angles 109.30, 106.97, 109.24 degrees
Space group P1 (No. 1)
Symmetry-distinct sites (fractional):
Mg 0.0000 0.0000 0.0000 x1
Mg 0.0453 0.5520 0.0700 x1
Mg 0.1216 0.8184 0.6180 x1
Mg 0.3306 0.1415 0.4872 x1
Mg 0.4461 0.6572 0.8135 x1
Mg 0.5454 0.7543 0.4671 x1
Mg 0.6793 0.3915 0.2618 x1
Mg 0.8788 0.2003 0.5780 x1
Tl 0.1261 0.3908 0.3688 x1
Tl 0.2981 0.3033 0.9110 x1
Tl 0.4348 0.9401 0.1583 x1
Tl 0.7701 0.5489 0.6935 x1
In 0.6338 0.1165 0.8428 x1
In 0.8276 0.8087 0.2395 x1

Principal peaks in the range 10° ≤ 2θ ≤ 90°, in order of falling intensity:
Position (°2θ), I (rel.)
24.5, 100
24.3, 93
24.0, 92
26.1, 80
32.2, 80
24.7, 65
23.2, 47
32.6, 43
36.1, 43
30.7, 41

# 13
Starting from DFT lattice parameters and positions (GGA-PBE), the powder diffraction line list of Mg4TlIn3 was calculated for Cu Kα (λ = 1.5418 Å).
Intensities are scaled so that the largest is 100.

Crystal structure
Cell lengths 5.1315, 5.1315, 25.2202 Å; angles 90.00, 90.00, 120.00 degrees
Space group R-3m (No. 166, hexagonal axes)
Symmetry-distinct sites (fractional):
Mg 0.0000 0.0000 0.1245 x6
Mg 0.0000 0.0000 0.3743 x6
Tl 0.0000 0.0000 0.5000 x3
In 0.0000 0.0000 0.0000 x3
In 0.0000 0.0000 0.2507 x6

Principal peaks in the range 10° ≤ 2θ ≤ 90°, in order of falling intensity:
Position (°2θ), I (rel.)
34.9, 100
24.5, 58
62.7, 27
50.2, 18
43.2, 13
56.6, 12
56.7, 12
62.5, 9
79.1, 9
84.2, 8

# 14
Starting from DFT lattice parameters and positions (GGA-PBE), the powder diffraction line list of Mg2Tl4In3 was calculated for Cu Kα (λ = 1.5418 Å).
Intensities are scaled so that the largest is 100.

Crystal structure
Cell lengths 9.2477, 9.2477, 3.3485 Å; angles 90.00, 90.00, 120.00 degrees
Space group P-62m (No. 189)
Symmetry-distinct sites (fractional):
Mg 0.3333 0.6667 0.0000 x2
Tl 0.0000 0.0000 0.5000 x1
Tl 0.0000 0.6814 0.0000 x3
In 0.0000 0.3626 0.5000 x3

Principal peaks in the range 10° ≤ 2θ ≤ 90°, in order of falling intensity:
Position (°2θ), I (rel.)
33.0, 100
33.6, 87
47.8, 33
59.7, 31
65.8, 25
11.0, 25
19.2, 24
34.9, 16
60.0, 14
57.2, 12